# 1
Structure and calculated X-ray diffraction stick pattern of Y5Ir3 (a structure optimized by DFT (GGA-PBE); λ = 1.5418 Å (Cu Kα)).

Structure:
abc: 6.2520 15.6612 8.4271
angles: 90.00 111.68 90.00
Space group Cm (No. 8)
One atom of each set of equivalent atoms:
Y 0.9996 0.0000 0.9996
Y 0.0000 0.5000 0.0000
Y 0.0722 0.1863 0.7879
Y 0.2850 0.1862 0.2112
Y 0.3654 0.3941 0.3725
Y 0.4921 0.1059 0.6272
Ir 0.1288 0.0000 0.6887
Ir 0.1843 0.2500 0.4997
Ir 0.2839 0.3446 0.9998
Ir 0.4389 0.0000 0.3105

Principal peaks in the range 15° ≤ 2θ ≤ 90°, in order of rising 2θ:
- d 3.882, 22.91 deg, intensity 84, (1 3 0)
- d 2.757, 32.48 deg, intensity 51, (1 1 2)
- d 2.722, 32.90 deg, intensity 59, (2 2 -2)
- d 2.476, 36.28 deg, intensity 68, (0 6 1)
- d 2.468, 36.41 deg, intensity 100, (1 3 -3)
- d 2.332, 38.61 deg, intensity 48, (2 2 1)

# 2
Structure and calculated X-ray diffraction stick pattern of Ho4P (a structure optimized by DFT (GGA-PBE); λ = 1.5418 Å (Cu Kα)).

Structure:
abc: 5.3441 5.3441 5.3441
angles: 90.00 90.00 90.00
Space group Pm-3m (No. 221)
One atom of each set of equivalent atoms:
Ho 0.0000 0.0000 0.0000
Ho 0.0000 0.5000 0.5000
P 0.5000 0.5000 0.5000

Principal peaks in the range 15° ≤ 2θ ≤ 90°, in order of rising 2θ:
- d 3.085, 28.94 deg, intensity 100, (1 1 1)
- d 2.672, 33.54 deg, intensity 62, (2 0 0)
- d 1.889, 48.16 deg, intensity 45, (2 2 0)
- d 1.611, 57.17 deg, intensity 45, (3 1 1)
- d 1.226, 77.92 deg, intensity 18, (3 3 1)
- d 1.195, 80.35 deg, intensity 20, (4 2 0)